# 1
Starting from the PBE geometry in the Materials Project, the powder XRD pattern of PtN was simulated for Cu Kα.
Neutral-atom scattering factors, no anomalous dispersion.

Most intense lines, 2θ = 10–80°, sorted by position:
32.3°, I 34, (0 0 2); 33.5°, I 100, (1 0 0); 37.3°, I 1, (1 0 1); 47.2°, I 89, (1 0 2); 59.8°, I 23, (1 1 0); 67.5°, I 5, (0 0 4); 69.6°, I 24, (1 1 2); 70.3°, I 12, (2 0 0); 77.5°, I 19, (1 0 4); 79.5°, I 19, (2 0 2)

Atomic structure:
```
data_PtN
_chemical_formula_sum 'Pt2 N2'
_space_group_name_H-M_alt 'P 63/m m c'
_space_group_IT_number 194
_space_group_name_Hall '-P 6c 2c'
_cell_length_a 3.0912
_cell_length_b 3.0912
_cell_length_c 5.5484
_cell_angle_alpha 90.00
_cell_angle_beta 90.00
_cell_angle_gamma 120.00
loop_
_atom_site_label
_atom_site_type_symbol
_atom_site_fract_x
_atom_site_fract_y
_atom_site_fract_z
_atom_site_occupancy
Pt1 Pt 0.0000 0.0000 0.0000 1
N1 N 0.3333 0.6667 0.2500 1
```

=====

# 2
Starting from the PBE geometry in the Materials Project, the powder XRD pattern of Ba2YMgCu3O7 was simulated for Cu Kα.
Neutral-atom scattering factors, no anomalous dispersion.

Most intense lines, 2θ = 10–80°, sorted by position:
25.8°, I 33, (0 1 2); 27.3°, I 28, (1 0 2); 29.5°, I 28, (0 1 3); 30.8°, I 27, (1 0 3); 33.1°, I 99, (1 1 0); 34.1°, I 97, (0 1 4); 35.3°, I 100, (1 0 4); 35.5°, I 27, (1 1 2); 45.6°, I 41, (0 2 0); 49.2°, I 32, (2 0 0); 59.0°, I 43, (1 2 4); 61.3°, I 40, (2 1 4)

Atomic structure:
```
data_Ba2YMgCu3O7
_chemical_formula_sum 'Ba2 Y1 Mg1 Cu3 O7'
_space_group_name_H-M_alt 'P m m 2'
_space_group_IT_number 25
_cell_length_a 3.702
_cell_length_b 3.979
_cell_length_c 13.993
_cell_angle_alpha 90.00
_cell_angle_beta 90.00
_cell_angle_gamma 90.00
loop_
_space_group_symop_operation_xyz
'x,y,z'
'-x,-y,z'
'-x,y,z'
'x,-y,z'
loop_
_atom_site_label
_atom_site_type_symbol
_atom_site_fract_x
_atom_site_fract_y
_atom_site_fract_z
_atom_site_occupancy
Ba1 Ba 0.000 0.000 0.000 1
Ba2 Ba 0.000 0.000 0.471 1
Y1 Y 0.000 0.000 0.730 1
Mg1 Mg 0.000 0.500 0.282 1
Cu1 Cu 0.500 0.500 0.148 1
Cu2 Cu 0.500 0.500 0.615 1
Cu3 Cu 0.500 0.500 0.848 1
O1 O 0.000 0.500 0.601 1
O2 O 0.000 0.500 0.811 1
O3 O 0.500 0.000 0.183 1
O4 O 0.500 0.000 0.618 1
O5 O 0.500 0.000 0.832 1
O6 O 0.500 0.500 0.009 1
O7 O 0.500 0.500 0.366 1
```

=====

# 3
Starting from the PBE geometry in the Materials Project, the powder XRD pattern of Y2MgNb2O8 was simulated for Cu Kα.
Neutral-atom scattering factors, no anomalous dispersion.

Most intense lines, 2θ = 10–80°, sorted by position:
12.1°, I 100, (0 2 0); 24.9°, I 98, (0 2 1); 29.5°, I 44, (2 2 -1); 32.8°, I 24, (0 4 1); 34.5°, I 15, (2 0 0); 34.9°, I 13, (2 0 -2); 36.6°, I 61, (2 4 -1); 44.1°, I 23, (0 0 2); 51.5°, I 21, (2 6 0); 51.8°, I 22, (2 6 -2); 58.3°, I 13, (2 4 1); 58.9°, I 21, (2 4 -3)

Atomic structure:
```
data_Y2MgNb2O8
_chemical_formula_sum 'Y4 Mg2 Nb4 O16'
_space_group_name_H-M_alt 'C 1 2 1'
_space_group_IT_number 5
_cell_length_a 6.650
_cell_length_b 14.582
_cell_length_c 5.255
_cell_angle_alpha 90.00
_cell_angle_beta 128.57
_cell_angle_gamma 90.00
loop_
_space_group_symop_operation_xyz
'x,y,z'
'-x,y,-z'
'x+1/2,y+1/2,z'
'-x+1/2,y+1/2,-z'
loop_
_atom_site_label
_atom_site_type_symbol
_atom_site_fract_x
_atom_site_fract_y
_atom_site_fract_z
_atom_site_occupancy
Y1 Y 0.000 0.000 0.000 1
Y2 Y 0.000 0.327 0.500 1
Mg1 Mg 0.000 0.655 0.500 1
Nb1 Nb 0.000 0.495 0.000 1
Nb2 Nb 0.000 0.850 0.500 1
O1 O 0.173 0.581 0.899 1
O2 O 0.220 0.750 0.514 1
O3 O 0.239 0.453 0.478 1
O4 O 0.240 0.884 0.980 1
```

=====

# 4
Starting from the PBE geometry in the Materials Project, the powder XRD pattern of Mg3Zr was simulated for Cu Kα.
Neutral-atom scattering factors, no anomalous dispersion.

Most intense lines, 2θ = 10–80°, sorted by position:
21.8°, I 38, (1 1 1); 25.3°, I 20, (2 0 0); 36.0°, I 100, (2 2 0); 42.5°, I 19, (3 1 1); 44.5°, I 6, (2 2 2); 51.9°, I 17, (4 0 0); 56.9°, I 8, (3 3 1); 58.5°, I 7, (4 2 0); 64.8°, I 34, (4 2 2); 69.2°, I 6, (5 1 1); 76.4°, I 10, (4 4 0)

Atomic structure:
```
data_Mg3Zr
_chemical_formula_sum 'Mg12 Zr4'
_space_group_name_H-M_alt 'F m -3 m'
_space_group_IT_number 225
_space_group_name_Hall '-F 4 2 3'
_cell_length_a 7.051
_cell_length_b 7.051
_cell_length_c 7.051
_cell_angle_alpha 90.00
_cell_angle_beta 90.00
_cell_angle_gamma 90.00
loop_
_atom_site_label
_atom_site_type_symbol
_atom_site_fract_x
_atom_site_fract_y
_atom_site_fract_z
_atom_site_occupancy
Mg1 Mg 0.000 0.000 0.000 1
Mg2 Mg 0.250 0.250 0.250 1
Zr1 Zr 0.000 0.000 0.500 1
```